(1)
The following is a calculated powder X-ray diffraction pattern of Li2HoAg6. It was derived from a cell relaxed with GGA-PBE, using Cu Ka.
Neutral-atom scattering factors, no anomalous dispersion.

The 12 most intense peaks (10 to 90 degrees two-theta), in order of rising 2θ:
2θ (°)  I_rel  hkl
12.0  12.7  2 0 0
26.7  12.2  0 2 1
29.3  11.5  2 2 1
30.4  22.3  4 2 0
34.5  81.5  1 3 1
37.2  100.0  5 1 1
38.9  39.6  0 0 2
44.8  9.9  4 4 0
46.0  10.2  5 3 1
50.2  10.9  4 2 2
67.6  11.1  1 3 3
69.3  14.3  5 1 3

Atomic structure:
Unit cell a=14.800 b=9.651 c=4.631 alpha=90.00 beta=90.00 gamma=90.00
Space group Cmcm (No. 63)
Symmetry-distinct sites (fractional):
Li 0.221 0.082 0.250 (multiplicity 8)
Ho 0.000 0.250 0.250 (multiplicity 4)
Ag 0.096 0.409 0.750 (multiplicity 8)
Ag 0.097 0.104 0.750 (multiplicity 8)
Ag 0.205 0.334 0.250 (multiplicity 8)


(2)
The following is a calculated powder X-ray diffraction pattern of Ho5MgAg3. It was derived from a cell relaxed with GGA-PBE, using Cu Ka.
Neutral-atom scattering factors, no anomalous dispersion.

The 12 most intense peaks (10 to 90 degrees two-theta), in order of rising 2θ:
2θ (°)  I_rel  hkl
11.4  17.0  1 0 0
27.2  10.6  0 0 2
33.9  91.9  1 1 2
34.6  100.0  3 0 0
44.5  14.8  3 0 2
49.1  31.0  2 2 2
61.5  31.0  4 1 2
61.9  16.7  3 3 0
67.6  27.8  3 0 4
72.9  9.8  6 0 0
82.8  12.3  5 2 2
88.4  12.9  3 3 4

Atomic structure:
Unit cell a=8.9919 b=8.9919 c=6.5535 alpha=90.00 beta=90.00 gamma=120.00
Space group P6_3/mcm (No. 193)
Symmetry-distinct sites (fractional):
Ho 0.0000 0.3184 0.2500 (multiplicity 6)
Ho 0.3333 0.6667 0.0000 (multiplicity 4)
Mg 0.0000 0.0000 0.0000 (multiplicity 2)
Ag 0.0000 0.3504 0.7500 (multiplicity 6)


(3)
The following is a calculated powder X-ray diffraction pattern of HoMg2Ag2. It was derived from a cell relaxed with GGA-PBE, using Cu Ka.
Neutral-atom scattering factors, no anomalous dispersion.

The 12 most intense peaks (10 to 90 degrees two-theta), in order of rising 2θ:
2θ (°)  I_rel  hkl
17.4  41.2  0 0 1
23.3  26.8  2 0 0
24.1  84.4  1 1 -1
34.9  54.9  2 0 1
35.9  54.9  0 2 0
36.6  100.0  3 1 -1
36.8  90.9  1 1 -2
39.7  20.8  3 1 0
45.9  19.0  1 1 2
50.9  39.0  2 2 1
63.6  17.9  5 1 0
65.0  34.2  3 3 -1

Atomic structure:
Unit cell a=8.471 b=5.007 c=5.637 alpha=90.00 beta=115.54 gamma=90.00
Space group C2/m (No. 12)
Symmetry-distinct sites (fractional):
Ho 0.000 0.000 0.000 (multiplicity 2)
Mg 0.230 0.000 0.653 (multiplicity 4)
Ag 0.102 0.500 0.767 (multiplicity 4)


(4)
The following is a calculated powder X-ray diffraction pattern of Ho3Mg3Ag2. It was derived from a cell relaxed with GGA-PBE, using Cu Ka.
Neutral-atom scattering factors, no anomalous dispersion.

The 12 most intense peaks (10 to 90 degrees two-theta), in order of rising 2θ:
2θ (°)  I_rel  hkl
17.2  21.3  0 1 0
24.9  10.2  1 1 0
29.8  11.6  1 0 2
34.6  100.0  1 1 2
34.9  24.6  0 2 0
36.2  22.2  2 0 0
48.4  9.5  0 0 4
51.1  16.3  2 2 0
62.4  17.7  1 3 2
64.1  16.3  3 1 2
73.0  11.0  2 2 4
81.3  9.4  1 1 6

Atomic structure:
Unit cell a=4.963 b=5.147 c=7.526 alpha=90.00 beta=90.00 gamma=90.00
Space group Pmmm (No. 47)
Symmetry-distinct sites (fractional):
Ho 0.000 0.000 0.000 (multiplicity 1)
Ho 0.000 0.000 0.500 (multiplicity 1)
Ho 0.500 0.500 0.000 (multiplicity 1)
Mg 0.000 0.500 0.266 (multiplicity 2)
Mg 0.500 0.500 0.500 (multiplicity 1)
Ag 0.500 0.000 0.248 (multiplicity 2)


(5)
The following is a calculated powder X-ray diffraction pattern of HoMg8Ag4. It was derived from a cell relaxed with GGA-PBE, using Cu Ka.
Neutral-atom scattering factors, no anomalous dispersion.

The 12 most intense peaks (10 to 90 degrees two-theta), in order of rising 2θ:
2θ (°)  I_rel  hkl
12.7  12.5  1 1 0
18.1  33.2  2 0 0
25.7  48.9  2 2 0
31.6  11.4  3 0 1
36.7  100.0  4 0 0
41.2  27.0  2 2 2
52.8  33.1  4 4 0
59.5  11.6  6 2 0
66.0  15.6  6 0 2
77.9  14.4  8 0 0
78.1  6.3  4 0 4
89.2  8.6  8 4 0

Atomic structure:
Unit cell a=9.819 b=9.819 c=5.650 alpha=90.00 beta=90.00 gamma=90.00
Space group I4/mmm (No. 139)
Symmetry-distinct sites (fractional):
Ho 0.000 0.000 0.000 (multiplicity 2)
Mg 0.000 0.213 0.500 (multiplicity 8)
Mg 0.000 0.342 0.000 (multiplicity 8)
Ag 0.250 0.250 0.250 (multiplicity 8)


(6)
The following is a calculated powder X-ray diffraction pattern of Ho3Mg4Ag4. It was derived from a cell relaxed with GGA-PBE, using Cu Ka.
Neutral-atom scattering factors, no anomalous dispersion.

The 12 most intense peaks (10 to 90 degrees two-theta), in order of rising 2θ:
2θ (°)  I_rel  hkl
11.3  13.2  0 0 2
12.2  14.4  0 1 1
21.6  27.0  0 2 0
30.5  25.8  0 1 5
31.9  79.4  1 2 1
34.0  100.0  1 1 4
37.1  21.1  0 3 3
43.9  18.4  0 3 5
45.9  19.1  2 0 0
46.5  14.4  1 3 4
62.5  14.3  1 2 9
66.0  21.3  1 5 4

Atomic structure:
Unit cell a=3.958 b=8.214 c=15.661 alpha=90.00 beta=90.00 gamma=90.00
Space group Immm (No. 71)
Symmetry-distinct sites (fractional):
Ho 0.000 0.000 0.000 (multiplicity 2)
Ho 0.000 0.500 0.113 (multiplicity 4)
Mg 0.000 0.309 0.331 (multiplicity 8)
Ag 0.000 0.000 0.239 (multiplicity 4)
Ag 0.000 0.197 0.500 (multiplicity 4)